1.
Diffraction record for Te2Rh. The powder diffraction line list is simulated, not measured: it uses a DFT-relaxed cell (GGA-PBE, the Materials Project) and λ = 1.5418 Å (Cu Kα).
Intensities are scaled so that the largest is 100.

Structure:
abc: 6.5420 6.5420 6.5420
angles: 90.00 90.00 90.00
Sites, in units of the cell vectors:
Te 0.1320 0.1320 0.1320
Te 0.1320 0.3680 0.6320
Te 0.3680 0.6320 0.1320
Te 0.3680 0.8680 0.6320
Te 0.6320 0.1320 0.3680
Te 0.6320 0.3680 0.8680
Te 0.8680 0.6320 0.3680
Te 0.8680 0.8680 0.8680
Rh 0.0000 0.0000 0.5000
Rh 0.0000 0.5000 0.0000
Rh 0.5000 0.0000 0.0000
Rh 0.5000 0.5000 0.5000

Main lines, low angle first (2θ = 15–90°):
2θ/deg  intensity
30.56  100
33.55  71
46.01  74
52.33  41
65.37  21
83.61  20



2.
Diffraction record for Te16Rh11. The powder diffraction line list is simulated, not measured: it uses a DFT-relaxed cell (GGA-PBE, the Materials Project) and λ = 1.5418 Å (Cu Kα).
Intensities are scaled so that the largest is 100.

Structure:
abc: 7.3831 9.3942 10.2579
angles: 96.35 94.82 112.06
Sites, in units of the cell vectors:
Te 0.0075 0.1177 0.1310
Te 0.0741 0.3943 0.7289
Te 0.1388 0.9517 0.3707
Te 0.2655 0.3877 0.4463
Te 0.3026 0.4247 0.0734
Te 0.3487 0.7536 0.6263
Te 0.4486 0.8025 0.9661
Te 0.4574 0.7646 0.2908
Te 0.5426 0.2354 0.7092
Te 0.5514 0.1975 0.0339
Te 0.6513 0.2464 0.3737
Te 0.6974 0.5753 0.9266
Te 0.7345 0.6123 0.5537
Te 0.8612 0.0483 0.6293
Te 0.9259 0.6057 0.2711
Te 0.9925 0.8823 0.8690
Rh 0.0000 0.5000 0.5000
Rh 0.0499 0.8606 0.6152
Rh 0.1532 0.6327 0.0887
Rh 0.2298 0.9545 0.1025
Rh 0.3660 0.9911 0.8246
Rh 0.4538 0.4860 0.6980
Rh 0.5462 0.5140 0.3020
Rh 0.6340 0.0089 0.1754
Rh 0.7702 0.0455 0.8975
Rh 0.8468 0.3673 0.9113
Rh 0.9501 0.1394 0.3848

Main lines, low angle first (2θ = 15–90°):
2θ/deg  intensity
28.58  54
31.23  55
32.11  100
35.62  43
38.69  88
42.32  49



3.
Diffraction record for Y6Te2Rh. The powder diffraction line list is simulated, not measured: it uses a DFT-relaxed cell (GGA-PBE, the Materials Project) and λ = 1.5418 Å (Cu Kα).
Intensities are scaled so that the largest is 100.

Structure:
abc: 21.8812 4.0241 11.5453
angles: 90.00 90.00 90.00
Sites, in units of the cell vectors:
Y 0.0086 0.2500 0.1175
Y 0.0225 0.7500 0.3801
Y 0.1096 0.2500 0.8166
Y 0.1448 0.7500 0.0693
Y 0.1509 0.2500 0.5368
Y 0.2344 0.7500 0.7462
Y 0.2656 0.2500 0.2462
Y 0.3491 0.7500 0.0368
Y 0.3552 0.2500 0.5693
Y 0.3904 0.7500 0.3166
Y 0.4775 0.2500 0.8801
Y 0.4914 0.7500 0.6175
Y 0.5086 0.2500 0.3825
Y 0.5225 0.7500 0.1199
Y 0.6096 0.2500 0.6834
Y 0.6448 0.7500 0.4307
Y 0.6509 0.2500 0.9632
Y 0.7344 0.7500 0.7538
Y 0.7656 0.2500 0.2538
Y 0.8491 0.7500 0.4632
Y 0.8552 0.2500 0.9307
Y 0.8904 0.7500 0.1834
Y 0.9775 0.2500 0.6199
Y 0.9914 0.7500 0.8825
Te 0.1262 0.2500 0.2723
Te 0.2397 0.2500 0.9635
Te 0.2603 0.7500 0.4635
Te 0.3738 0.7500 0.7723
Te 0.6262 0.2500 0.2277
Te 0.7397 0.2500 0.5365
Te 0.7603 0.7500 0.0365
Te 0.8738 0.7500 0.7277
Rh 0.0723 0.7500 0.6470
Rh 0.4277 0.2500 0.1470
Rh 0.5723 0.7500 0.8530
Rh 0.9277 0.2500 0.3530

Main lines, low angle first (2θ = 15–90°):
2θ/deg  intensity
29.70  42
31.17  100
32.07  48
33.20  49
34.02  49
45.06  44



4.
Diffraction record for Th7Rh3. The powder diffraction line list is simulated, not measured: it uses a DFT-relaxed cell (GGA-PBE, the Materials Project) and λ = 1.5418 Å (Cu Kα).
Intensities are scaled so that the largest is 100.

Structure:
abc: 10.0314 10.0314 6.2762
angles: 90.00 90.00 120.00
Sites, in units of the cell vectors:
Th 0.0826 0.5413 0.0000
Th 0.1283 0.2565 0.7073
Th 0.1283 0.8717 0.7073
Th 0.2565 0.1283 0.2073
Th 0.3333 0.6667 0.5424
Th 0.4587 0.5413 0.0000
Th 0.4587 0.9174 0.0000
Th 0.5413 0.0826 0.5000
Th 0.5413 0.4587 0.5000
Th 0.6667 0.3333 0.0424
Th 0.7435 0.8717 0.7073
Th 0.8717 0.1283 0.2073
Th 0.8717 0.7435 0.2073
Th 0.9174 0.4587 0.5000
Rh 0.1848 0.3695 0.2629
Rh 0.1848 0.8152 0.2629
Rh 0.3695 0.1848 0.7629
Rh 0.6305 0.8152 0.2629
Rh 0.8152 0.1848 0.7629
Rh 0.8152 0.6305 0.7629

Main lines, low angle first (2θ = 15–90°):
2θ/deg  intensity
30.28  40
30.73  100
34.10  45
35.28  43
35.81  34
54.86  39



5.
Diffraction record for ThRh2. The powder diffraction line list is simulated, not measured: it uses a DFT-relaxed cell (GGA-PBE, the Materials Project) and λ = 1.5418 Å (Cu Kα).
Intensities are scaled so that the largest is 100.

Structure:
abc: 4.7527 4.7527 5.9628
angles: 90.00 90.00 120.00
Sites, in units of the cell vectors:
Th 0.3333 0.6667 0.2500
Th 0.6667 0.3333 0.7500
Rh 0.0000 0.0000 0.0000
Rh 0.0000 0.0000 0.5000
Rh 0.3333 0.6667 0.7500
Rh 0.6667 0.3333 0.2500

Main lines, low angle first (2θ = 15–90°):
2θ/deg  intensity
26.31  27
37.24  81
37.86  100
54.15  27
67.97  28
75.25  27



6.
Diffraction record for Th3Rh. The powder diffraction line list is simulated, not measured: it uses a DFT-relaxed cell (GGA-PBE, the Materials Project) and λ = 1.5418 Å (Cu Kα).
Intensities are scaled so that the largest is 100.

Structure:
abc: 4.5166 4.5166 10.6116
angles: 90.00 90.00 90.00
Sites, in units of the cell vectors:
Th 0.0000 0.0000 0.0000
Th 0.0000 0.5000 0.2500
Th 0.0000 0.5000 0.7500
Th 0.5000 0.0000 0.2500
Th 0.5000 0.0000 0.7500
Th 0.5000 0.5000 0.5000
Rh 0.0000 0.0000 0.5000
Rh 0.5000 0.5000 0.0000

Main lines, low angle first (2θ = 15–90°):
2θ/deg  intensity
32.73  100
33.79  23
39.92  29
53.27  26
59.77  18
67.97  25



7.
Diffraction record for ThRh3. The powder diffraction line list is simulated, not measured: it uses a DFT-relaxed cell (GGA-PBE, the Materials Project) and λ = 1.5418 Å (Cu Kα).
Intensities are scaled so that the largest is 100.

Structure:
abc: 4.1375 4.1375 4.1375
angles: 90.00 90.00 90.00
Sites, in units of the cell vectors:
Th 0.0000 0.0000 0.0000
Rh 0.0000 0.5000 0.5000
Rh 0.5000 0.0000 0.5000
Rh 0.5000 0.5000 0.0000

Main lines, low angle first (2θ = 15–90°):
2θ/deg  intensity
21.48  14
30.56  12
37.66  100
43.76  49
63.61  32
76.34  38



8.
Diffraction record for TiRh. The powder diffraction line list is simulated, not measured: it uses a DFT-relaxed cell (GGA-PBE, the Materials Project) and λ = 1.5418 Å (Cu Kα).
Intensities are scaled so that the largest is 100.

Structure:
abc: 3.1152 3.1152 3.1152
angles: 90.00 90.00 90.00
Sites, in units of the cell vectors:
Ti 0.0000 0.0000 0.0000
Rh 0.5000 0.5000 0.5000

Main lines, low angle first (2θ = 15–90°):
2θ/deg  intensity
28.66  19
40.97  100
59.33  16
67.20  7
74.63  31
88.85  10



9.
Diffraction record for TiRh. The powder diffraction line list is simulated, not measured: it uses a DFT-relaxed cell (GGA-PBE, the Materials Project) and λ = 1.5418 Å (Cu Kα).
Intensities are scaled so that the largest is 100.

Structure:
abc: 2.9819 2.9819 3.3839
angles: 90.00 90.00 90.00
Sites, in units of the cell vectors:
Ti 0.0000 0.0000 0.0000
Rh 0.5000 0.5000 0.5000

Main lines, low angle first (2θ = 15–90°):
2θ/deg  intensity
29.97  16
40.31  100
42.89  42
62.27  13
71.49  17
76.83  28



10.
Diffraction record for Ti3Rh5. The powder diffraction line list is simulated, not measured: it uses a DFT-relaxed cell (GGA-PBE, the Materials Project) and λ = 1.5418 Å (Cu Kα).
Intensities are scaled so that the largest is 100.

Structure:
abc: 5.4238 10.5292 4.1324
angles: 90.00 90.00 90.00
Sites, in units of the cell vectors:
Ti 0.0000 0.0000 0.0000
Ti 0.1602 0.3563 0.5000
Ti 0.3398 0.8563 0.5000
Ti 0.5000 0.5000 0.0000
Ti 0.6602 0.1437 0.5000
Ti 0.8398 0.6437 0.5000
Rh 0.0000 0.5000 0.0000
Rh 0.1030 0.7640 0.0000
Rh 0.1863 0.1071 0.5000
Rh 0.3137 0.6071 0.5000
Rh 0.3970 0.2640 0.0000
Rh 0.5000 0.0000 0.0000
Rh 0.6030 0.7360 0.0000
Rh 0.6863 0.3929 0.5000
Rh 0.8137 0.8929 0.5000
Rh 0.8970 0.2360 0.0000

Main lines, low angle first (2θ = 15–90°):
2θ/deg  intensity
39.76  26
40.67  100
42.11  19
43.82  27
48.18  13
78.36  14



11.
Diffraction record for ZrTiRh. The powder diffraction line list is simulated, not measured: it uses a DFT-relaxed cell (GGA-PBE, the Materials Project) and λ = 1.5418 Å (Cu Kα).
Intensities are scaled so that the largest is 100.

Structure:
abc: 8.5559 5.2944 5.2944
angles: 63.10 90.00 90.00
Sites, in units of the cell vectors:
Zr 0.1838 0.0000 0.0000
Zr 0.2986 0.6639 0.6639
Zr 0.7014 0.6639 0.6639
Zr 0.8162 0.0000 0.0000
Ti 0.0000 0.4841 0.4841
Ti 0.5000 0.1544 0.6763
Ti 0.5000 0.1629 0.1629
Ti 0.5000 0.6763 0.1544
Rh 0.0000 0.4891 0.9784
Rh 0.0000 0.9784 0.4891
Rh 0.2583 0.3343 0.3343
Rh 0.7417 0.3343 0.3343

Main lines, low angle first (2θ = 15–90°):
2θ/deg  intensity
33.91  58
36.82  53
37.30  42
38.72  81
39.60  71
40.10  100



12.
Diffraction record for TmRh3. The powder diffraction line list is simulated, not measured: it uses a DFT-relaxed cell (GGA-PBE, the Materials Project) and λ = 1.5418 Å (Cu Kα).
Intensities are scaled so that the largest is 100.

Structure:
abc: 4.0252 4.0252 4.0252
angles: 90.00 90.00 90.00
Sites, in units of the cell vectors:
Tm 0.0000 0.0000 0.0000
Rh 0.0000 0.5000 0.5000
Rh 0.5000 0.0000 0.5000
Rh 0.5000 0.5000 0.0000

Main lines, low angle first (2θ = 15–90°):
2θ/deg  intensity
22.08  5
38.75  100
45.05  49
65.60  31
78.87  37
83.13  11



13.
Diffraction record for Tm4Rh. The powder diffraction line list is simulated, not measured: it uses a DFT-relaxed cell (GGA-PBE, the Materials Project) and λ = 1.5418 Å (Cu Kα).
Intensities are scaled so that the largest is 100.

Structure:
abc: 7.5340 7.5340 7.5340
angles: 60.00 60.00 60.00
Sites, in units of the cell vectors:
Tm 0.2096 0.7635 0.7635
Tm 0.2365 0.2365 0.2365
Tm 0.2365 0.2365 0.7904
Tm 0.2365 0.7904 0.2365
Tm 0.7635 0.2096 0.7635
Tm 0.7635 0.7635 0.2096
Tm 0.7635 0.7635 0.7635
Tm 0.7904 0.2365 0.2365
Rh 0.3750 0.3750 0.3750
Rh 0.6250 0.6250 0.6250

Main lines, low angle first (2θ = 15–90°):
2θ/deg  intensity
29.03  100
33.65  34
36.77  17
44.17  18
48.32  44
57.36  35